(1)
The following is a simulated powder diffraction line list of YbPd. It was derived from a PBE-relaxed structure, using Cu Kα (weighted mean of Kα1 and Kα2).
No peak broadening, texture or thermal motion is included.

```
YbPd
1.0
7.199 0.000 0.000
0.000 4.436 0.000
0.000 0.000 5.709
Yb Pd
4 4
direct
0.181 0.250 0.137
0.319 0.750 0.637
0.681 0.250 0.363
0.819 0.750 0.863
0.039 0.250 0.646
0.461 0.750 0.146
0.539 0.250 0.854
0.961 0.750 0.354
```

The 12 most intense peaks (2θ = 5–70°), low angle first:
2θ (°)	intensity
28.3	52
32.0	87
33.8	73
35.8	100
39.6	88
40.7	54
40.8	33
53.4	25
53.9	53
59.0	23
62.3	18
69.2	22



(2)
The following is a simulated powder diffraction line list of NdDyPu. It was derived from a PBE-relaxed structure, using Cu Kα (weighted mean of Kα1 and Kα2).
No peak broadening, texture or thermal motion is included.

```
NdDyPu
1.0
5.522 -3.462 0.000
5.522 3.462 0.000
-2.931 0.000 4.884
Nd Dy Pu
2 2 2
direct
0.177 0.177 0.177
0.823 0.823 0.823
0.247 0.753 0.500
0.753 0.247 0.500
0.347 0.347 0.847
0.653 0.653 0.153
```

The 12 most intense peaks (2θ = 5–70°), low angle first:
2θ (°)	intensity
31.4	57
31.7	98
32.0	40
32.4	100
41.9	16
45.5	31
46.5	19
56.1	20
56.6	21
57.2	21
62.8	16
63.4	30



(3)
The following is a simulated powder diffraction line list of SmS2O8. It was derived from a PBE-relaxed structure, using Cu Kα (weighted mean of Kα1 and Kα2).
No peak broadening, texture or thermal motion is included.

```
SmS2O8
1.0
4.915 -2.729 0.000
4.915 2.729 0.000
-1.972 0.000 5.416
Sm S O
1 2 8
direct
0.000 0.000 0.000
0.201 0.201 0.692
0.799 0.799 0.308
0.077 0.642 0.219
0.151 0.151 0.417
0.358 0.923 0.781
0.361 0.361 0.790
0.639 0.639 0.210
0.642 0.077 0.219
0.849 0.849 0.583
0.923 0.358 0.781
```

The 12 most intense peaks (2θ = 5–70°), low angle first:
2θ (°)	intensity
16.4	28
18.9	100
20.6	18
27.2	54
29.4	28
32.1	15
32.5	40
32.8	20
35.3	16
39.0	31
41.8	20
52.3	14



(4)
The following is a simulated powder diffraction line list of PaCu3Ge3. It was derived from a PBE-relaxed structure, using Cu Kα (weighted mean of Kα1 and Kα2).
No peak broadening, texture or thermal motion is included.

```
PaCu3Ge3
1.0
5.459 0.000 0.000
-1.250 5.589 0.000
-1.602 -2.967 7.755
Pa Cu Ge
2 6 6
direct
0.189 0.015 0.234
0.811 0.985 0.766
0.139 0.436 0.604
0.231 0.972 0.566
0.404 0.630 0.420
0.596 0.370 0.580
0.769 0.028 0.434
0.861 0.564 0.396
0.123 0.435 0.117
0.319 0.866 0.860
0.375 0.334 0.842
0.625 0.666 0.158
0.681 0.134 0.140
0.877 0.565 0.883
```

The 12 most intense peaks (2θ = 5–70°), low angle first:
2θ (°)	intensity
17.0	24
33.0	40
33.3	31
34.1	32
34.3	50
35.0	55
36.4	100
41.8	23
43.3	33
43.5	77
43.9	22
57.1	24



(5)
The following is a simulated powder diffraction line list of GaTe4Pd. It was derived from a PBE-relaxed structure, using Cu Kα (weighted mean of Kα1 and Kα2).
No peak broadening, texture or thermal motion is included.

```
GaTe4Pd
1.0
-4.613 4.613 4.127
4.613 -4.613 4.127
4.613 4.613 -4.127
Ga Te Pd
2 8 2
direct
0.000 0.000 0.000
0.750 0.250 0.500
0.198 0.507 0.691
0.257 0.067 0.809
0.257 0.448 0.191
0.308 0.997 0.311
0.686 0.997 0.689
0.747 0.558 0.811
0.747 0.936 0.189
0.817 0.507 0.309
0.256 0.756 0.500
0.506 0.506 0.000
```

The 12 most intense peaks (2θ = 5–70°), low angle first:
2θ (°)	intensity
19.2	47
27.3	10
29.0	100
30.6	47
37.8	53
39.1	24
43.9	20
47.2	56
54.5	18
58.3	16
60.2	25
68.2	11



(6)
The following is a simulated powder diffraction line list of K6Pd7. It was derived from a PBE-relaxed structure, using Cu Kα (weighted mean of Kα1 and Kα2).
No peak broadening, texture or thermal motion is included.

```
K6Pd7
1.0
2.902 1.676 10.641
-2.902 1.676 10.641
0.000 -3.351 10.641
K Pd
6 7
direct
0.056 0.056 0.056
0.153 0.153 0.153
0.337 0.337 0.337
0.663 0.663 0.663
0.847 0.847 0.847
0.944 0.944 0.944
0.094 0.594 0.594
0.406 0.406 0.906
0.406 0.906 0.406
0.500 0.500 0.500
0.594 0.094 0.594
0.594 0.594 0.094
0.906 0.406 0.406
```

The 12 most intense peaks (2θ = 5–70°), low angle first:
2θ (°)	intensity
8.3	78
16.7	63
17.9	48
33.7	31
35.2	72
35.7	37
35.8	52
37.5	35
38.5	100
41.0	33
46.0	26
64.2	33



(7)
The following is a simulated powder diffraction line list of Ac2Cd3Cu4. It was derived from a PBE-relaxed structure, using Cu Kα (weighted mean of Kα1 and Kα2).
No peak broadening, texture or thermal motion is included.

```
Ac2Cd3Cu4
1.0
3.098 -8.505 0.000
3.098 8.505 0.000
0.000 0.000 7.578
Ac Cd Cu
4 6 8
direct
0.108 0.892 0.914
0.392 0.608 0.414
0.608 0.392 0.586
0.892 0.108 0.086
0.000 0.000 0.500
0.020 0.480 0.750
0.480 0.020 0.250
0.500 0.500 0.000
0.520 0.980 0.750
0.980 0.520 0.250
0.162 0.838 0.506
0.182 0.318 0.750
0.318 0.182 0.250
0.338 0.662 0.006
0.662 0.338 0.994
0.682 0.818 0.750
0.818 0.682 0.250
0.838 0.162 0.494
```

The 12 most intense peaks (2θ = 5–70°), low angle first:
2θ (°)	intensity
28.1	27
31.6	30
31.9	43
32.3	100
33.0	50
33.8	27
35.9	40
37.1	44
37.5	81
53.0	20
53.3	24
57.2	23



(8)
The following is a simulated powder diffraction line list of RbBaErO3. It was derived from a PBE-relaxed structure, using Cu Kα (weighted mean of Kα1 and Kα2).
No peak broadening, texture or thermal motion is included.

```
RbBaErO3
1.0
3.353 -6.467 0.000
3.353 6.467 0.000
-1.396 0.000 5.797
Rb Ba Er O
2 2 2 6
direct
0.069 0.931 0.750
0.931 0.069 0.250
0.272 0.728 0.250
0.728 0.272 0.750
0.444 0.556 0.750
0.556 0.444 0.250
0.259 0.379 0.025
0.276 0.724 0.750
0.379 0.259 0.525
0.621 0.741 0.475
0.724 0.276 0.250
0.741 0.621 0.975
```

The 12 most intense peaks (2θ = 5–70°), low angle first:
2θ (°)	intensity
15.2	30
27.4	100
30.9	89
36.3	27
39.3	8
41.9	17
46.1	18
46.5	14
50.7	15
52.8	11
52.9	9
57.0	12